For CaPu2Zn2Ge2, a cell relaxed with PBE gives the calculated X-ray diffraction stick pattern in this record (Cu Kα (weighted mean of Kα1 and Kα2)).

Largest 6 diffraction maxima, low angle first, 2θ = 10–90°:
two_theta, Rel. int.
33.86, 100
41.17, 30
44.35, 67
45.46, 29
56.94, 23
60.27, 21

Cell: 9.609 9.609 9.609 Å, 24.55 24.55 24.55°
Element x y z (fractional)
Ca  0.000  0.000  0.000
Pu  0.153  0.153  0.153
Pu  0.847  0.847  0.847
Zn  0.420  0.420  0.420
Zn  0.580  0.580  0.580
Ge  0.262  0.262  0.262
Ge  0.738  0.738  0.738



For Ca3Ge5Rh6, a cell relaxed with PBE gives the calculated X-ray diffraction stick pattern in this record (Cu Kα (weighted mean of Kα1 and Kα2)).

Largest 6 diffraction maxima, low angle first, 2θ = 10–90°:
two_theta, Rel. int.
18.06, 79
35.24, 30
35.53, 100
42.10, 27
44.74, 46
48.24, 54

Cell: 4.051 12.876 9.823 Å, 90.00 90.00 90.00°
Element x y z (fractional)
Ca  0.250  0.092  0.249
Ca  0.250  0.408  0.249
Ca  0.250  0.750  0.243
Ca  0.750  0.250  0.757
Ca  0.750  0.592  0.751
Ca  0.750  0.908  0.751
Ge  0.250  0.077  0.650
Ge  0.250  0.423  0.650
Ge  0.250  0.627  0.987
Ge  0.250  0.750  0.614
Ge  0.250  0.873  0.987
Ge  0.750  0.127  0.013
Ge  0.750  0.250  0.386
Ge  0.750  0.373  0.013
Ge  0.750  0.577  0.350
Ge  0.750  0.923  0.350
Rh  0.250  0.051  0.902
Rh  0.250  0.250  0.010
Rh  0.250  0.250  0.521
Rh  0.250  0.449  0.902
Rh  0.250  0.581  0.494
Rh  0.250  0.919  0.494
Rh  0.750  0.081  0.506
Rh  0.750  0.419  0.506
Rh  0.750  0.551  0.098
Rh  0.750  0.750  0.479
Rh  0.750  0.750  0.990
Rh  0.750  0.949  0.098



For Ca3Ge2Rh, a cell relaxed with PBE gives the calculated X-ray diffraction stick pattern in this record (Cu Kα (weighted mean of Kα1 and Kα2)).

Largest 6 diffraction maxima, low angle first, 2θ = 10–90°:
two_theta, Rel. int.
13.18, 55
19.68, 78
35.94, 55
37.34, 53
39.49, 100
39.88, 85

Cell: 8.012 9.633 9.026 Å, 90.00 123.01 90.00°
Element x y z (fractional)
Ca  0.224  0.005  0.350
Ca  0.224  0.495  0.850
Ca  0.239  0.647  0.267
Ca  0.239  0.853  0.767
Ca  0.271  0.139  0.000
Ca  0.271  0.361  0.500
Ca  0.729  0.639  0.500
Ca  0.729  0.861  0.000
Ca  0.761  0.147  0.233
Ca  0.761  0.353  0.733
Ca  0.776  0.505  0.150
Ca  0.776  0.995  0.650
Ge  0.102  0.149  0.618
Ge  0.102  0.351  0.118
Ge  0.487  0.632  0.707
Ge  0.487  0.868  0.207
Ge  0.513  0.132  0.793
Ge  0.513  0.368  0.293
Ge  0.898  0.649  0.882
Ge  0.898  0.851  0.382
Rh  0.097  0.635  0.502
Rh  0.097  0.865  0.002
Rh  0.903  0.135  0.998
Rh  0.903  0.365  0.498



> Number 2 is which compound?

Ca3Ge5Rh6